1.
Structure and theoretical powder X-ray diffraction pattern of Ca4Ni4Ge3 (the GGA-PBE geometry in the Materials Project; Cu Kα, 1.54184 Å).

Crystal structure
Lattice parameters (Å, degrees): 4.1760 10.3851 19.8288 90.00 90.00 90.00
Space group Cmcm (No. 63)
Inequivalent atoms, fractional coordinates:
Ca: 0.0000 0.0000 0.0000 [4 per cell]
Ca: 0.0000 0.2686 0.2500 [4 per cell]
Ca: 0.0000 0.4431 0.6502 [8 per cell]
Ni: 0.0000 0.1557 0.6434 [8 per cell]
Ni: 0.0000 0.2725 0.5337 [8 per cell]
Ge: 0.0000 0.0333 0.7500 [4 per cell]
Ge: 0.0000 0.2834 0.0872 [8 per cell]

The 10 most intense peaks (10 to 90 degrees two-theta), in order of rising 2θ:
two_theta  I_rel  (hkl)
17.08  68  0 2 0
17.66  52  0 2 1
19.30  94  0 2 2
33.94  65  1 3 1
38.35  69  1 3 4
39.40  71  1 1 7
43.33  100  2 0 0
43.63  37  1 3 6
46.82  51  1 3 7
47.47  83  1 1 9

2.
Structure and theoretical powder X-ray diffraction pattern of Ca5Ni17Ge8 (the GGA-PBE geometry in the Materials Project; Cu Kα, 1.54184 Å).

Crystal structure
Lattice parameters (Å, degrees): 4.0314 25.1260 8.9909 90.00 90.00 90.00
Space group Amm2 (No. 38)
Inequivalent atoms, fractional coordinates:
Ca: 0.0000 0.0000 0.0000 [2 per cell]
Ca: 0.0000 0.1942 0.2334 [4 per cell]
Ca: 0.5000 0.1051 0.5059 [4 per cell]
Ni: 0.0000 0.0493 0.6955 [4 per cell]
Ni: 0.0000 0.0637 0.2706 [4 per cell]
Ni: 0.0000 0.1113 0.0193 [4 per cell]
Ni: 0.0000 0.2012 0.5748 [4 per cell]
Ni: 0.0000 0.2145 0.9166 [4 per cell]
Ni: 0.5000 0.0000 0.2919 [2 per cell]
Ni: 0.5000 0.0845 0.8521 [4 per cell]
Ni: 0.5000 0.1659 0.0025 [4 per cell]
Ni: 0.5000 0.1988 0.7446 [4 per cell]
Ge: 0.0000 0.0000 0.4604 [2 per cell]
Ge: 0.0000 0.1378 0.7659 [4 per cell]
Ge: 0.5000 0.0000 0.7363 [2 per cell]
Ge: 0.5000 0.0848 0.1470 [4 per cell]
Ge: 0.5000 0.2397 0.4972 [4 per cell]

The 10 most intense peaks (10 to 90 degrees two-theta), in order of rising 2θ:
two_theta  I_rel  (hkl)
10.45  54  0 1 1
14.45  92  0 3 1
20.24  40  0 5 1
20.99  45  0 2 2
34.87  42  0 8 2
41.63  83  1 5 3
44.97  100  2 0 0
45.39  73  1 7 3
46.83  52  1 2 4
47.17  85  1 10 2

3.
Structure and theoretical powder X-ray diffraction pattern of Ca2Ge7O16 (the GGA-PBE geometry in the Materials Project; Cu Kα, 1.54184 Å).

Crystal structure
Lattice parameters (Å, degrees): 11.5071 11.5071 4.7121 90.00 90.00 90.00
Space group P-4b2 (No. 117)
Inequivalent atoms, fractional coordinates:
Ca: 0.1648 0.3352 0.0000 [4 per cell]
Ge: 0.0000 0.5000 0.5000 [2 per cell]
Ge: 0.0664 0.8125 0.4909 [8 per cell]
Ge: 0.1337 0.6337 0.0000 [4 per cell]
O: 0.9998 0.3829 0.2534 [8 per cell]
O: 0.0275 0.7197 0.7771 [8 per cell]
O: 0.0682 0.1403 0.3368 [8 per cell]
O: 0.1702 0.7662 0.2320 [8 per cell]

The 10 most intense peaks (10 to 90 degrees two-theta), in order of rising 2θ:
two_theta  I_rel  (hkl)
10.87  19  1 1 0
17.23  38  2 1 0
21.80  26  1 1 1
24.43  24  2 0 1
31.05  100  3 1 1
32.07  18  4 1 0
33.92  36  3 2 1
36.60  16  4 0 1
51.37  20  3 3 2
54.03  16  6 2 1

4.
Structure and theoretical powder X-ray diffraction pattern of Ca3GeO (the GGA-PBE geometry in the Materials Project; Cu Kα, 1.54184 Å).

Crystal structure
Lattice parameters (Å, degrees): 6.7011 9.4800 6.7294 90.00 90.00 90.00
Space group Imma (No. 74)
Inequivalent atoms, fractional coordinates:
Ca: 0.0000 0.2500 0.0432 [4 per cell]
Ca: 0.2500 0.0221 0.7500 [8 per cell]
Ge: 0.0000 0.2500 0.5016 [4 per cell]
O: 0.0000 0.0000 0.0000 [4 per cell]

The 10 most intense peaks (10 to 90 degrees two-theta), in order of rising 2θ:
two_theta  I_rel  (hkl)
26.56  17  1 2 1
31.26  7  0 3 1
32.69  100  2 2 0
37.92  68  2 0 2
46.83  6  1 2 3
54.55  6  0 0 4
54.74  33  4 0 0
65.09  10  2 2 4
65.26  21  4 2 2
68.60  6  4 4 0

5.
Structure and theoretical powder X-ray diffraction pattern of Ca3GeO (the GGA-PBE geometry in the Materials Project; Cu Kα, 1.54184 Å).

Crystal structure
Lattice parameters (Å, degrees): 4.7427 4.7427 4.7427 90.00 90.00 90.00
Space group Pm-3m (No. 221)
Inequivalent atoms, fractional coordinates:
Ca: 0.0000 0.0000 0.5000 [3 per cell]
Ge: 0.5000 0.5000 0.5000 [1 per cell]
O: 0.0000 0.0000 0.0000 [1 per cell]

The 10 most intense peaks (10 to 90 degrees two-theta), in order of rising 2θ:
two_theta  I_rel  (hkl)
26.58  19  1 1 0
32.70  100  1 1 1
37.94  68  2 0 0
46.93  8  2 1 1
54.74  43  2 2 0
61.86  3  3 1 0
65.25  37  3 1 1
68.54  14  2 2 2
74.92  4  3 2 1
81.11  6  4 0 0

6.
Structure and theoretical powder X-ray diffraction pattern of CaGeP2O8 (the GGA-PBE geometry in the Materials Project; Cu Kα, 1.54184 Å).

Crystal structure
Lattice parameters (Å, degrees): 15.9414 5.1713 7.8402 90.00 116.85 90.00
Space group C2/c (No. 15)
Inequivalent atoms, fractional coordinates:
Ca: 0.0000 0.2155 0.2500 [4 per cell]
Ge: 0.2500 0.2500 0.5000 [4 per cell]
P: 0.1413 0.2535 0.7532 [8 per cell]
O: 0.0443 0.2400 0.5868 [8 per cell]
O: 0.1487 0.4939 0.3718 [8 per cell]
O: 0.1526 0.0088 0.8825 [8 per cell]
O: 0.2261 0.2550 0.7086 [8 per cell]

The 10 most intense peaks (10 to 90 degrees two-theta), in order of rising 2θ:
two_theta  I_rel  (hkl)
12.45  90  2 0 0
20.58  53  1 1 -1
22.71  54  2 0 -2
23.85  100  1 1 1
26.47  53  4 0 -2
32.22  94  3 1 1
33.04  70  5 1 -1
34.69  45  0 2 0
38.63  71  3 1 -3
43.26  34  4 2 0